# 1
Calculated powder diffractogram of SrMgRu2O6 for λ = 1.5418 Å (Cu Kα), from a crystal structure in the Materials Project, relaxed with GGA-PBE.

Atomic structure:
Lattice parameters (Å, degrees): 5.635 7.667 5.409 90.00 90.00 90.00
Space group Imm2 (No. 44)
Asymmetric unit:
Sr 0.000 0.000 0.000 x2
Mg 0.000 0.500 0.941 x2
Ru 0.000 0.251 0.482 x4
O 0.000 0.000 0.569 x2
O 0.000 0.500 0.335 x2
O 0.225 0.314 0.762 x8

Most intense lines, 10° ≤ 2θ ≤ 90°, in order of rising 2θ:
22.8 deg, intensity 21, (1 0 1); 31.8 deg, intensity 26, (2 0 0); 32.7 deg, intensity 100, (1 2 1); 33.1 deg, intensity 18, (0 0 2); 46.5 deg, intensity 30, (2 0 2); 47.4 deg, intensity 12, (0 4 0); 57.2 deg, intensity 21, (3 2 1); 58.2 deg, intensity 13, (2 4 0); 58.9 deg, intensity 22, (1 2 3); 68.6 deg, intensity 13, (2 4 2)

***

# 2
Calculated powder diffractogram of Sr4Tb2MgRu2O12 for λ = 1.5418 Å (Cu Kα), from a crystal structure in the Materials Project, relaxed with GGA-PBE.

Atomic structure:
Lattice parameters (Å, degrees): 5.890 6.193 8.289 88.91 89.48 86.75
Space group P1 (No. 1)
Asymmetric unit:
Sr 0.000 0.000 0.000 x1
Sr 0.085 0.113 0.475 x1
Sr 0.635 0.584 0.507 x1
Sr 0.729 0.547 0.995 x1
Tb 0.148 0.618 0.267 x1
Tb 0.579 0.063 0.731 x1
Mg 0.309 0.338 0.985 x1
Ru 0.144 0.596 0.744 x1
Ru 0.619 0.102 0.248 x1
O 0.021 0.312 0.826 x1
O 0.097 0.514 0.517 x1
O 0.166 0.639 0.993 x1
O 0.307 0.859 0.681 x1
O 0.357 0.908 0.291 x1
O 0.435 0.382 0.215 x1
O 0.459 0.423 0.771 x1
O 0.561 0.083 0.002 x1
O 0.658 0.164 0.484 x1
O 0.829 0.830 0.257 x1
O 0.842 0.788 0.747 x1
O 0.912 0.293 0.207 x1

Most intense lines, 10° ≤ 2θ ≤ 90°, in order of rising 2θ:
20.2 deg, intensity 25, (1 1 0); 21.4 deg, intensity 23, (1 -1 0); 28.9 deg, intensity 58, (0 2 0); 29.4 deg, intensity 51, (1 1 2); 29.9 deg, intensity 51, (1 1 -2); 30.4 deg, intensity 100, (-1 1 2); 30.6 deg, intensity 59, (1 -1 2); 41.2 deg, intensity 21, (2 2 0); 43.7 deg, intensity 63, (0 0 4); 52.7 deg, intensity 17, (0 2 4)

***

# 3
Calculated powder diffractogram of Sr4Tb2MgRu2O12 for λ = 1.5418 Å (Cu Kα), from a crystal structure in the Materials Project, relaxed with GGA-PBE.

Atomic structure:
Lattice parameters (Å, degrees): 5.746 6.075 8.618 94.32 90.99 90.18
Space group P1 (No. 1)
Asymmetric unit:
Sr 0.000 0.000 0.000 x1
Sr 0.014 0.175 0.410 x1
Sr 0.519 0.624 0.459 x1
Sr 0.535 0.554 0.002 x1
Tb 0.018 0.462 0.764 x1
Tb 0.515 0.069 0.224 x1
Mg 0.990 0.864 0.625 x1
Ru 0.025 0.578 0.239 x1
Ru 0.513 0.995 0.752 x1
O 0.093 0.558 0.010 x1
O 0.192 0.145 0.687 x1
O 0.232 0.847 0.292 x1
O 0.298 0.370 0.265 x1
O 0.306 0.723 0.709 x1
O 0.428 0.998 0.982 x1
O 0.669 0.004 0.532 x1
O 0.708 0.257 0.814 x1
O 0.765 0.790 0.209 x1
O 0.782 0.780 0.795 x1
O 0.801 0.316 0.194 x1
O 0.957 0.569 0.490 x1

Most intense lines, 10° ≤ 2θ ≤ 90°, in order of rising 2θ:
21.3 deg, intensity 49, (1 -1 0); 28.9 deg, intensity 58, (1 1 -2); 29.2 deg, intensity 59, (1 -1 2); 29.5 deg, intensity 53, (0 2 0); 30.4 deg, intensity 100, (-1 1 2); 30.5 deg, intensity 42, (0 2 -1); 30.9 deg, intensity 96, (1 1 2); 31.1 deg, intensity 95, (2 0 0); 42.1 deg, intensity 35, (0 0 4); 44.2 deg, intensity 49, (2 -2 1)

***

# 4
Calculated powder diffractogram of Sr4Tb2MgRu2O12 for λ = 1.5418 Å (Cu Kα), from a crystal structure in the Materials Project, relaxed with GGA-PBE.

Atomic structure:
Lattice parameters (Å, degrees): 5.916 6.000 8.438 88.84 86.44 89.42
Space group P1 (No. 1)
Asymmetric unit:
Sr 0.000 0.000 0.000 x1
Sr 0.046 0.904 0.496 x1
Sr 0.536 0.393 0.485 x1
Sr 0.626 0.540 0.060 x1
Tb 0.068 0.448 0.258 x1
Tb 0.515 0.913 0.747 x1
Mg 0.363 0.357 0.837 x1
Ru 0.549 0.958 0.260 x1
Ru 0.983 0.449 0.743 x1
O 0.095 0.419 0.985 x1
O 0.195 0.146 0.718 x1
O 0.283 0.157 0.303 x1
O 0.293 0.622 0.704 x1
O 0.357 0.677 0.296 x1
O 0.471 0.945 0.024 x1
O 0.613 0.962 0.493 x1
O 0.681 0.275 0.796 x1
O 0.755 0.226 0.226 x1
O 0.824 0.728 0.804 x1
O 0.837 0.758 0.224 x1
O 0.944 0.469 0.517 x1

Most intense lines, 10° ≤ 2θ ≤ 90°, in order of rising 2θ:
21.1 deg, intensity 56, (1 1 0); 29.1 deg, intensity 67, (1 1 2); 29.6 deg, intensity 90, (1 -1 2); 29.8 deg, intensity 87, (0 2 0); 30.3 deg, intensity 78, (2 0 0); 30.6 deg, intensity 85, (-1 1 2); 30.8 deg, intensity 100, (1 1 -2); 43.0 deg, intensity 48, (0 0 4); 43.2 deg, intensity 45, (2 -2 0); 53.7 deg, intensity 35, (0 2 -4)

***

# 5
Calculated powder diffractogram of Sr4Tb2MgRu2O12 for λ = 1.5418 Å (Cu Kα), from a crystal structure in the Materials Project, relaxed with GGA-PBE.

Atomic structure:
Lattice parameters (Å, degrees): 5.817 6.137 8.369 87.36 87.80 87.96
Space group P1 (No. 1)
Asymmetric unit:
Sr 0.000 0.000 0.000 x1
Sr 0.056 0.197 0.562 x1
Sr 0.535 0.675 0.570 x1
Sr 0.613 0.557 0.062 x1
Tb 0.065 0.696 0.329 x1
Tb 0.532 0.119 0.801 x1
Mg 0.183 0.316 0.175 x1
Ru 0.043 0.604 0.802 x1
Ru 0.570 0.130 0.308 x1
O 0.124 0.607 0.054 x1
O 0.238 0.886 0.762 x1
O 0.271 0.973 0.350 x1
O 0.314 0.413 0.755 x1
O 0.363 0.428 0.345 x1
O 0.447 0.164 0.069 x1
O 0.636 0.099 0.537 x1
O 0.739 0.851 0.252 x1
O 0.756 0.804 0.840 x1
O 0.845 0.329 0.840 x1
O 0.861 0.299 0.252 x1
O 0.963 0.608 0.571 x1

Most intense lines, 10° ≤ 2θ ≤ 90°, in order of rising 2θ:
20.7 deg, intensity 17, (1 1 0); 29.0 deg, intensity 35, (1 1 2); 29.2 deg, intensity 33, (0 2 0); 30.3 deg, intensity 38, (-1 1 2); 30.4 deg, intensity 52, (1 -1 2); 30.8 deg, intensity 100, (1 1 -2); 42.1 deg, intensity 17, (2 2 0); 43.3 deg, intensity 24, (0 0 4); 43.7 deg, intensity 18, (2 -2 0); 54.3 deg, intensity 20, (0 2 -4)

***

# 6
Calculated powder diffractogram of Sr4Y2MgRu2O12 for λ = 1.5418 Å (Cu Kα), from a crystal structure in the Materials Project, relaxed with GGA-PBE.

Atomic structure:
Lattice parameters (Å, degrees): 5.913 6.267 8.214 88.15 88.59 85.54
Space group P1 (No. 1)
Asymmetric unit:
Sr 0.000 0.000 0.000 x1
Sr 0.082 0.958 0.487 x1
Sr 0.348 0.409 0.469 x1
Sr 0.444 0.540 0.955 x1
Y 0.521 0.051 0.756 x1
Y 0.918 0.476 0.217 x1
Mg 0.657 0.748 0.481 x1
Ru 0.497 0.011 0.232 x1
Ru 0.982 0.514 0.735 x1
O 0.022 0.579 0.972 x1
O 0.187 0.201 0.235 x1
O 0.193 0.243 0.742 x1
O 0.268 0.691 0.685 x1
O 0.380 0.732 0.314 x1
O 0.447 0.932 0.003 x1
O 0.524 0.052 0.482 x1
O 0.649 0.278 0.172 x1
O 0.729 0.318 0.789 x1
O 0.788 0.791 0.707 x1
O 0.811 0.835 0.258 x1
O 0.914 0.495 0.489 x1

Most intense lines, 10° ≤ 2θ ≤ 90°, in order of rising 2θ:
26.2 deg, intensity 29, (1 0 2); 28.6 deg, intensity 90, (0 2 0); 29.0 deg, intensity 76, (1 1 2); 30.2 deg, intensity 84, (1 1 -2); 30.3 deg, intensity 75, (2 0 0); 30.6 deg, intensity 100, (-1 1 2); 30.8 deg, intensity 78, (1 -1 2); 40.4 deg, intensity 32, (2 2 0); 43.8 deg, intensity 46, (2 -2 0); 44.1 deg, intensity 60, (0 0 4)

***

# 7
Calculated powder diffractogram of Sr4Y2MgRu2O12 for λ = 1.5418 Å (Cu Kα), from a crystal structure in the Materials Project, relaxed with GGA-PBE.

Atomic structure:
Lattice parameters (Å, degrees): 5.741 6.065 8.614 94.23 91.00 90.11
Space group P1 (No. 1)
Asymmetric unit:
Sr 0.000 0.000 0.000 x1
Sr 0.013 0.176 0.409 x1
Sr 0.480 0.621 0.408 x1
Sr 0.495 0.552 0.950 x1
Y 0.498 0.107 0.185 x1
Y 0.996 0.712 0.645 x1
Mg 0.024 0.310 0.784 x1
Ru 0.501 0.179 0.658 x1
Ru 0.989 0.597 0.170 x1
O 0.057 0.605 0.919 x1
O 0.214 0.860 0.214 x1
O 0.232 0.395 0.615 x1
O 0.250 0.386 0.200 x1
O 0.306 0.916 0.598 x1
O 0.347 0.171 0.879 x1
O 0.585 0.174 0.428 x1
O 0.709 0.451 0.700 x1
O 0.716 0.805 0.145 x1
O 0.782 0.328 0.118 x1
O 0.822 0.029 0.722 x1
O 0.921 0.617 0.400 x1

Most intense lines, 10° ≤ 2θ ≤ 90°, in order of rising 2θ:
28.9 deg, intensity 55, (1 1 -2); 29.3 deg, intensity 57, (1 -1 2); 29.5 deg, intensity 52, (0 2 0); 30.4 deg, intensity 100, (-1 1 2); 30.6 deg, intensity 40, (0 2 -1); 30.9 deg, intensity 96, (1 1 2); 31.2 deg, intensity 95, (2 0 0); 42.1 deg, intensity 36, (0 0 4); 43.4 deg, intensity 33, (2 -2 0); 54.2 deg, intensity 32, (0 2 4)

***

# 8
Calculated powder diffractogram of Sr4Y2MgRu2O12 for λ = 1.5418 Å (Cu Kα), from a crystal structure in the Materials Project, relaxed with GGA-PBE.

Atomic structure:
Lattice parameters (Å, degrees): 5.814 6.117 8.365 87.34 87.83 87.93
Space group P1 (No. 1)
Asymmetric unit:
Sr 0.000 0.000 0.000 x1
Sr 0.054 0.195 0.563 x1
Sr 0.443 0.638 0.501 x1
Sr 0.518 0.522 0.993 x1
Y 0.522 0.077 0.762 x1
Y 0.990 0.499 0.235 x1
Mg 0.870 0.883 0.386 x1
Ru 0.011 0.592 0.761 x1
Ru 0.484 0.065 0.255 x1
O 0.091 0.586 0.992 x1
O 0.194 0.896 0.309 x1
O 0.210 0.866 0.724 x1
O 0.299 0.390 0.723 x1
O 0.315 0.344 0.310 x1
O 0.420 0.097 0.026 x1
O 0.606 0.031 0.494 x1
O 0.690 0.766 0.217 x1
O 0.741 0.783 0.807 x1
O 0.786 0.220 0.215 x1
O 0.816 0.310 0.801 x1
O 0.931 0.590 0.508 x1

Most intense lines, 10° ≤ 2θ ≤ 90°, in order of rising 2θ:
29.0 deg, intensity 29, (1 1 2); 29.2 deg, intensity 28, (0 2 0); 30.3 deg, intensity 32, (-1 1 2); 30.5 deg, intensity 46, (1 -1 2); 30.8 deg, intensity 100, (1 1 -2); 42.2 deg, intensity 16, (2 2 0); 43.3 deg, intensity 22, (0 0 4); 43.8 deg, intensity 16, (2 -2 0); 54.4 deg, intensity 17, (0 2 -4); 55.3 deg, intensity 11, (-3 1 2)

***

# 9
Calculated powder diffractogram of Mg4SO18 for λ = 1.5418 Å (Cu Kα), from a crystal structure in the Materials Project, relaxed with GGA-PBE.

Atomic structure:
Lattice parameters (Å, degrees): 7.509 9.100 20.196 90.00 91.69 90.00
Space group C2/c (No. 15)
Asymmetric unit:
Mg 0.095 0.136 0.017 x8
Mg 0.116 0.433 0.554 x8
S 0.000 0.173 0.250 x4
O 0.027 0.329 0.822 x8
O 0.033 0.263 0.190 x8
O 0.040 0.358 0.027 x8
O 0.106 0.211 0.822 x8
O 0.128 0.336 0.960 x8
O 0.137 0.048 0.464 x8
O 0.160 0.082 0.264 x8
O 0.183 0.166 0.583 x8
O 0.238 0.078 0.626 x8

Most intense lines, 10° ≤ 2θ ≤ 90°, in order of rising 2θ:
17.6 deg, intensity 100, (0 0 4); 17.8 deg, intensity 27, (1 1 2); 20.0 deg, intensity 67, (1 1 -3); 21.4 deg, intensity 40, (0 2 2); 27.2 deg, intensity 90, (1 1 5); 29.2 deg, intensity 55, (2 0 -4); 29.6 deg, intensity 62, (0 2 5); 30.9 deg, intensity 28, (2 2 0); 36.4 deg, intensity 26, (1 3 -4); 37.7 deg, intensity 36, (3 1 1)

***

# 10
Calculated powder diffractogram of MgSO8 for λ = 1.5418 Å (Cu Kα), from a crystal structure in the Materials Project, relaxed with GGA-PBE.

Atomic structure:
Lattice parameters (Å, degrees): 5.297 13.131 10.101 90.00 120.63 90.00
Space group P2_1/c (No. 14)
Asymmetric unit:
Mg 0.001 0.093 0.191 x4
S 0.392 0.604 0.690 x4
O 0.164 0.581 0.163 x4
O 0.217 0.218 0.322 x4
O 0.225 0.536 0.737 x4
O 0.290 0.091 0.710 x4
O 0.298 0.586 0.526 x4
O 0.306 0.711 0.709 x4
O 0.333 0.666 0.050 x4
O 0.412 0.141 0.189 x4

Most intense lines, 10° ≤ 2θ ≤ 90°, in order of rising 2θ:
12.2 deg, intensity 25, (0 1 1); 19.8 deg, intensity 37, (1 0 -2); 20.4 deg, intensity 100, (0 0 2); 20.6 deg, intensity 19, (1 1 0); 21.6 deg, intensity 79, (1 2 -1); 27.2 deg, intensity 34, (0 4 0); 28.3 deg, intensity 18, (1 3 0); 32.1 deg, intensity 23, (1 4 -1); 33.8 deg, intensity 23, (1 4 -2); 43.9 deg, intensity 15, (2 4 -2)